For DyIn3Cu2, a structure optimized by DFT (GGA-PBE) gives the theoretical X-ray diffraction stick pattern in this record (Cu Kα).

Structure:
abc: 5.824 5.824 4.258
angles: 90.00 90.00 120.00
Positions (direct):
Dy 0.000 0.000 0.000
In 0.000 0.500 0.500
In 0.500 0.000 0.500
In 0.500 0.500 0.500
Cu 0.333 0.667 0.000
Cu 0.667 0.333 0.000

Main lines, low angle first (5 to 70 degrees two-theta):
27.4 deg, d = 3.253 Å, I = 57; 30.7 deg, d = 2.912 Å, I = 16; 35.6 deg, d = 2.522 Å, I = 65; 37.4 deg, d = 2.404 Å, I = 100; 41.6 deg, d = 2.170 Å, I = 29; 42.5 deg, d = 2.129 Å, I = 28; 52.6 deg, d = 1.740 Å, I = 19; 53.3 deg, d = 1.719 Å, I = 7; 56.6 deg, d = 1.627 Å, I = 33; 59.1 deg, d = 1.564 Å, I = 25; 63.9 deg, d = 1.456 Å, I = 24; 68.7 deg, d = 1.366 Å, I = 4

=====

For Dy2CuIr, a structure optimized by DFT (GGA-PBE) gives the theoretical X-ray diffraction stick pattern in this record (Cu Kα).

Structure:
abc: 4.859 4.859 4.859
angles: 60.00 60.00 60.00
Positions (direct):
Dy 0.250 0.250 0.250
Dy 0.750 0.750 0.750
Cu 0.000 0.000 0.000
Ir 0.500 0.500 0.500

Main lines, low angle first (5 to 70 degrees two-theta):
22.4 deg, d = 3.968 Å, I = 10; 25.9 deg, d = 3.436 Å, I = 1; 37.0 deg, d = 2.430 Å, I = 100; 43.7 deg, d = 2.072 Å, I = 5; 53.3 deg, d = 1.718 Å, I = 17; 58.5 deg, d = 1.577 Å, I = 2; 60.2 deg, d = 1.537 Å, I = 1; 66.7 deg, d = 1.403 Å, I = 36

=====

For DyLuCu2, a structure optimized by DFT (GGA-PBE) gives the theoretical X-ray diffraction stick pattern in this record (Cu Kα).

Structure:
abc: 4.784 4.784 4.784
angles: 60.00 60.00 60.00
Positions (direct):
Dy 0.000 0.000 0.000
Lu 0.500 0.500 0.500
Cu 0.250 0.250 0.250
Cu 0.750 0.750 0.750

Main lines, low angle first (5 to 70 degrees two-theta):
26.3 deg, d = 3.383 Å, I = 21; 37.6 deg, d = 2.392 Å, I = 100; 46.5 deg, d = 1.953 Å, I = 6; 54.2 deg, d = 1.692 Å, I = 17; 61.3 deg, d = 1.513 Å, I = 9; 67.9 deg, d = 1.381 Å, I = 34

=====

For Dy2Mn3Cu9P7, a structure optimized by DFT (GGA-PBE) gives the theoretical X-ray diffraction stick pattern in this record (Cu Kα).

Structure:
abc: 9.468 9.468 3.754
angles: 90.00 90.00 120.00
Positions (direct):
Dy 0.000 0.000 0.000
Dy 0.333 0.667 0.500
Mn 0.446 0.200 0.000
Mn 0.754 0.554 0.000
Mn 0.800 0.246 0.000
Cu 0.047 0.287 0.500
Cu 0.096 0.722 0.000
Cu 0.240 0.953 0.500
Cu 0.278 0.373 0.000
Cu 0.501 0.447 0.500
Cu 0.553 0.054 0.500
Cu 0.627 0.904 0.000
Cu 0.713 0.760 0.500
Cu 0.946 0.499 0.500
P 0.081 0.458 0.000
P 0.252 0.203 0.500
P 0.377 0.919 0.000
P 0.542 0.623 0.000
P 0.667 0.333 0.500
P 0.797 0.048 0.500
P 0.952 0.748 0.500

Main lines, low angle first (5 to 70 degrees two-theta):
26.1 deg, d = 3.413 Å, I = 12; 28.8 deg, d = 3.099 Å, I = 10; 32.8 deg, d = 2.733 Å, I = 11; 37.6 deg, d = 2.390 Å, I = 100; 38.0 deg, d = 2.367 Å, I = 11; 39.6 deg, d = 2.274 Å, I = 10; 44.2 deg, d = 2.050 Å, I = 7; 46.7 deg, d = 1.945 Å, I = 15; 48.5 deg, d = 1.877 Å, I = 18; 51.0 deg, d = 1.789 Å, I = 18; 54.6 deg, d = 1.682 Å, I = 9; 65.1 deg, d = 1.432 Å, I = 9

=====

For DyMnCu4P3, a structure optimized by DFT (GGA-PBE) gives the theoretical X-ray diffraction stick pattern in this record (Cu Kα).

Structure:
abc: 12.492 3.763 10.763
angles: 90.00 90.00 90.00
Positions (direct):
Dy 0.207 0.250 0.092
Dy 0.293 0.750 0.592
Dy 0.707 0.250 0.408
Dy 0.793 0.750 0.908
Mn 0.026 0.750 0.717
Mn 0.474 0.250 0.217
Mn 0.526 0.750 0.783
Mn 0.974 0.250 0.283
Cu 0.003 0.750 0.088
Cu 0.063 0.750 0.467
Cu 0.186 0.250 0.795
Cu 0.189 0.250 0.384
Cu 0.311 0.750 0.884
Cu 0.314 0.750 0.295
Cu 0.437 0.250 0.967
Cu 0.497 0.250 0.588
Cu 0.503 0.750 0.412
Cu 0.563 0.750 0.033
Cu 0.686 0.250 0.705
Cu 0.689 0.250 0.116
Cu 0.811 0.750 0.616
Cu 0.814 0.750 0.205
Cu 0.937 0.250 0.533
Cu 0.997 0.250 0.912
P 0.119 0.750 0.911
P 0.120 0.250 0.592
P 0.122 0.750 0.262
P 0.378 0.250 0.762
P 0.380 0.750 0.092
P 0.381 0.250 0.411
P 0.619 0.750 0.589
P 0.620 0.250 0.908
P 0.622 0.750 0.238
P 0.878 0.250 0.738
P 0.880 0.750 0.408
P 0.881 0.250 0.089

Main lines, low angle first (5 to 70 degrees two-theta):
26.1 deg, d = 3.416 Å, I = 11; 28.7 deg, d = 3.111 Å, I = 6; 34.1 deg, d = 2.631 Å, I = 6; 36.2 deg, d = 2.478 Å, I = 8; 36.4 deg, d = 2.471 Å, I = 6; 36.9 deg, d = 2.434 Å, I = 9; 37.5 deg, d = 2.400 Å, I = 100; 38.2 deg, d = 2.356 Å, I = 8; 43.8 deg, d = 2.066 Å, I = 8; 46.9 deg, d = 1.937 Å, I = 6; 48.4 deg, d = 1.881 Å, I = 20; 50.7 deg, d = 1.801 Å, I = 16

=====

For Dy2Cu2O5, a structure optimized by DFT (GGA-PBE) gives the theoretical X-ray diffraction stick pattern in this record (Cu Kα).

Structure:
abc: 10.900 3.533 12.590
angles: 90.00 90.00 90.00
Positions (direct):
Dy 0.042 0.222 0.000
Dy 0.209 0.217 0.328
Dy 0.291 0.717 0.828
Dy 0.458 0.722 0.500
Dy 0.542 0.278 0.000
Dy 0.709 0.283 0.328
Dy 0.791 0.783 0.828
Dy 0.958 0.778 0.500
Cu 0.010 0.339 0.716
Cu 0.238 0.154 0.612
Cu 0.262 0.654 0.112
Cu 0.490 0.839 0.216
Cu 0.510 0.161 0.716
Cu 0.738 0.346 0.612
Cu 0.762 0.846 0.112
Cu 0.990 0.661 0.216
O 0.072 0.276 0.567
O 0.077 0.724 0.356
O 0.125 0.340 0.164
O 0.174 0.724 0.974
O 0.176 0.214 0.763
O 0.324 0.714 0.263
O 0.326 0.224 0.474
O 0.375 0.840 0.664
O 0.423 0.224 0.856
O 0.428 0.776 0.067
O 0.572 0.224 0.567
O 0.577 0.776 0.356
O 0.625 0.160 0.164
O 0.674 0.776 0.974
O 0.676 0.286 0.763
O 0.824 0.786 0.263
O 0.826 0.276 0.474
O 0.875 0.660 0.664
O 0.923 0.276 0.856
O 0.928 0.724 0.067

Main lines, low angle first (5 to 70 degrees two-theta):
21.6 deg, d = 4.121 Å, I = 45; 26.8 deg, d = 3.325 Å, I = 28; 30.1 deg, d = 2.965 Å, I = 30; 31.0 deg, d = 2.886 Å, I = 100; 32.9 deg, d = 2.726 Å, I = 80; 33.1 deg, d = 2.703 Å, I = 58; 33.6 deg, d = 2.663 Å, I = 21; 44.4 deg, d = 2.041 Å, I = 35; 47.4 deg, d = 1.919 Å, I = 32; 51.3 deg, d = 1.780 Å, I = 24; 55.1 deg, d = 1.667 Å, I = 19; 60.2 deg, d = 1.538 Å, I = 21